No. 1
Starting from a crystal structure in the Materials Project, relaxed with GGA+U, the powder XRD pattern of SrNi4O8 was simulated for λ = 1.5418 Å (Cu Kα).
No peak broadening, texture or thermal motion is included.

```
data_SrNi4O8
_chemical_formula_sum 'Sr3 Ni12 O24'
_cell_length_a 5.7252
_cell_length_b 5.7252
_cell_length_c 17.9490
_cell_angle_alpha 90.00
_cell_angle_beta 90.00
_cell_angle_gamma 120.00
_space_group_name_H-M_alt 'R -3 m'
_space_group_IT_number 166
_space_group_name_Hall '-R 3 2"'
loop_
_atom_site_label
_atom_site_type_symbol
_atom_site_fract_x
_atom_site_fract_y
_atom_site_fract_z
Sr1 Sr 0.0000 0.0000 0.0000
Ni1 Ni 0.0000 0.0000 0.5000
Ni2 Ni 0.0000 0.5000 0.5000
O1 O 0.0000 0.0000 0.2202
O2 O 0.0213 0.5106 0.7775
```

Peak list (10 most intense, 15 to 90 degrees two-theta, low angle first)
2θ 18.57, I = 39.6, (1 0 1); 2θ 20.46, I = 23.7, (0 1 2); 2θ 29.87, I = 33.8, (0 0 6); 2θ 36.59, I = 16.5, (0 2 1); 2θ 37.64, I = 35.3, (2 0 2); 2θ 41.62, I = 100.0, (0 2 4); 2θ 51.26, I = 20.9, (0 2 7); 2θ 55.23, I = 32.8, (2 0 8); 2θ 64.05, I = 17.9, (0 2 10); 2θ 65.18, I = 25.2, (2 2 0)



No. 2
Starting from a crystal structure in the Materials Project, relaxed with GGA+U, the powder XRD pattern of MgFe6O10F2 was simulated for λ = 1.5418 Å (Cu Kα).
No peak broadening, texture or thermal motion is included.

```
data_MgFe6O10F2
_chemical_formula_sum 'Mg1 Fe6 O10 F2'
_cell_length_a 5.1144
_cell_length_b 5.1663
_cell_length_c 8.9146
_cell_angle_alpha 90.03
_cell_angle_beta 90.03
_cell_angle_gamma 102.32
_space_group_name_H-M_alt 'P 1'
_space_group_IT_number 1
loop_
_space_group_symop_operation_xyz
'x,y,z'
loop_
_atom_site_label
_atom_site_type_symbol
_atom_site_fract_x
_atom_site_fract_y
_atom_site_fract_z
Mg1 Mg 0.0000 0.0000 0.0000
Fe1 Fe 0.4827 0.9005 0.9988
Fe2 Fe 0.5023 0.9151 0.3399
Fe3 Fe 0.5027 0.9147 0.6580
Fe4 Fe 0.9001 0.4988 0.1734
Fe5 Fe 0.9004 0.4989 0.8249
Fe6 Fe 0.9208 0.5075 0.4992
O1 O 0.1315 0.6571 0.9993
O2 O 0.1602 0.6403 0.6734
O3 O 0.1596 0.6410 0.3251
O4 O 0.3354 0.0605 0.4991
O5 O 0.6800 0.7514 0.4988
O6 O 0.6880 0.7837 0.1596
O7 O 0.6879 0.7837 0.8383
O8 O 0.7549 0.2669 0.6679
O9 O 0.7561 0.2663 0.3302
O10 O 0.7709 0.2572 0.9991
F1 F 0.2896 0.0995 0.8483
F2 F 0.2909 0.0994 0.1507
```

Peak list (10 most intense, 15 to 90 degrees two-theta, low angle first)
2θ 17.57, I = 20.3, (0 1 0); 2θ 22.20, I = 100.0, (1 -1 0); 2θ 27.67, I = 70.4, (1 1 0); 2θ 35.07, I = 58.1, (0 1 3); 2θ 35.15, I = 16.7, (1 0 3); 2θ 36.29, I = 17.6, (1 -2 0); 2θ 37.70, I = 29.8, (-1 1 3); 2θ 48.05, I = 20.5, (2 -1 3); 2θ 53.98, I = 25.7, (2 1 -3); 2θ 55.33, I = 19.1, (2 -2 3)



No. 3
Starting from a crystal structure in the Materials Project, relaxed with GGA+U, the powder XRD pattern of Ca8Mn6Al2O21 was simulated for λ = 1.5418 Å (Cu Kα).
No peak broadening, texture or thermal motion is included.

```
data_Ca8Mn6Al2O21
_chemical_formula_sum 'Ca8 Mn6 Al2 O21'
_cell_length_a 7.7365
_cell_length_b 7.7365
_cell_length_c 7.4420
_cell_angle_alpha 90.00
_cell_angle_beta 90.00
_cell_angle_gamma 90.00
_space_group_name_H-M_alt 'P 4/m m m'
_space_group_IT_number 123
_space_group_name_Hall '-P 4 2'
loop_
_atom_site_label
_atom_site_type_symbol
_atom_site_fract_x
_atom_site_fract_y
_atom_site_fract_z
Ca1 Ca 0.2377 0.2377 0.0000
Ca2 Ca 0.2484 0.2484 0.5000
Mn1 Mn 0.0000 0.0000 0.2515
Mn2 Mn 0.0000 0.5000 0.2528
Al1 Al 0.5000 0.5000 0.2464
O1 O 0.0000 0.0000 0.0000
O2 O 0.0000 0.2444 0.2726
O3 O 0.0000 0.5000 0.0000
O4 O 0.0000 0.5000 0.5000
O5 O 0.2652 0.5000 0.2499
```

Peak list (10 most intense, 15 to 90 degrees two-theta, low angle first)
2θ 32.74, I = 37.5, (2 2 0); 2θ 33.41, I = 100.0, (2 0 2); 2θ 40.95, I = 9.7, (2 2 2); 2θ 46.98, I = 46.6, (4 0 0); 2θ 48.96, I = 20.0, (0 0 4); 2θ 58.87, I = 34.1, (4 2 2); 2θ 60.15, I = 13.3, (2 2 4); 2θ 68.62, I = 12.1, (4 4 0); 2θ 70.19, I = 22.6, (4 0 4); 2θ 88.79, I = 10.7, (4 4 4)



No. 4
Starting from a crystal structure in the Materials Project, relaxed with GGA+U, the powder XRD pattern of Mn2V2O7 was simulated for λ = 1.5418 Å (Cu Kα).
No peak broadening, texture or thermal motion is included.

```
data_Mn2V2O7
_chemical_formula_sum 'Mn4 V4 O14'
_cell_length_a 6.5704
_cell_length_b 8.9628
_cell_length_c 5.0948
_cell_angle_alpha 90.00
_cell_angle_beta 102.31
_cell_angle_gamma 90.00
_space_group_name_H-M_alt 'C 1 2 1'
_space_group_IT_number 5
loop_
_space_group_symop_operation_xyz
'x,y,z'
'-x,y,-z'
'x+1/2,y+1/2,z'
'-x+1/2,y+1/2,-z'
loop_
_atom_site_label
_atom_site_type_symbol
_atom_site_fract_x
_atom_site_fract_y
_atom_site_fract_z
Mn1 Mn 0.0000 0.0000 0.0000
Mn2 Mn 0.0000 0.3750 0.0000
V1 V 0.2437 0.6889 0.3970
O1 O 0.0000 0.6936 0.5000
O2 O 0.0818 0.1871 0.2824
O3 O 0.2279 0.5261 0.2091
O4 O 0.2320 0.8507 0.2046
```

Peak list (10 most intense, 15 to 90 degrees two-theta, low angle first)
2θ 16.99, I = 12.6, (1 1 0); 2θ 26.78, I = 100.0, (0 2 1); 2θ 29.73, I = 28.4, (2 0 -1); 2θ 34.37, I = 12.3, (2 2 0); 2θ 36.36, I = 8.1, (2 0 1); 2θ 43.51, I = 14.7, (3 1 -1); 2θ 45.81, I = 8.7, (2 2 -2); 2θ 52.09, I = 18.5, (1 3 2); 2θ 57.46, I = 12.4, (4 0 0); 2θ 59.28, I = 12.1, (3 3 -2)



No. 5
Starting from a crystal structure in the Materials Project, relaxed with GGA+U, the powder XRD pattern of Li7Mn3FeP6O24 was simulated for λ = 1.5418 Å (Cu Kα).
No peak broadening, texture or thermal motion is included.

```
data_Li7Mn3FeP6O24
_chemical_formula_sum 'Li21 Mn9 Fe3 P18 O72'
_cell_length_a 8.9178
_cell_length_b 8.9178
_cell_length_c 21.4363
_cell_angle_alpha 90.00
_cell_angle_beta 90.00
_cell_angle_gamma 120.00
_space_group_name_H-M_alt 'R 3'
_space_group_IT_number 146
_space_group_name_Hall 'R 3'
loop_
_atom_site_label
_atom_site_type_symbol
_atom_site_fract_x
_atom_site_fract_y
_atom_site_fract_z
Li1 Li 0.0000 0.0000 0.0000
Li2 Li 0.0008 0.5848 0.2180
Li3 Li 0.1096 0.3928 0.0991
Mn1 Mn 0.0000 0.0000 0.3367
Mn2 Mn 0.0000 0.0000 0.6303
Mn3 Mn 0.0000 0.0000 0.8346
Fe1 Fe 0.0000 0.0000 0.1307
P1 P 0.9999 0.6986 0.7330
P2 P 0.0456 0.3743 0.9005
O1 O 0.0129 0.2032 0.1726
O2 O 0.0128 0.8281 0.0687
O3 O 0.0262 0.8085 0.6758
O4 O 0.0279 0.8415 0.4004
O5 O 0.0313 0.1930 0.9001
O6 O 0.1310 0.6858 0.4618
O7 O 0.1525 0.4657 0.9589
O8 O 0.1535 0.4725 0.2321
```

Peak list (10 most intense, 15 to 90 degrees two-theta, low angle first)
2θ 19.91, I = 20.7, (1 1 0); 2θ 20.17, I = 53.4, (1 0 4); 2θ 23.52, I = 100.0, (1 1 3); 2θ 28.49, I = 32.9, (0 2 4); 2θ 30.92, I = 18.6, (3 -1 1); 2θ 32.10, I = 42.1, (1 1 6); 2θ 34.85, I = 23.4, (3 0 0); 2θ 48.11, I = 17.4, (4 -2 6); 2θ 53.00, I = 13.4, (3 -1 10); 2θ 54.44, I = 14.9, (4 1 0)



No. 6
Starting from a crystal structure in the Materials Project, relaxed with GGA+U, the powder XRD pattern of LiNiP3O9 was simulated for λ = 1.5418 Å (Cu Kα).
No peak broadening, texture or thermal motion is included.

```
data_LiNiP3O9
_chemical_formula_sum 'Li4 Ni4 P12 O36'
_cell_length_a 8.4187
_cell_length_b 8.5681
_cell_length_c 8.6834
_cell_angle_alpha 90.00
_cell_angle_beta 90.00
_cell_angle_gamma 90.00
_space_group_name_H-M_alt 'P 21 21 21'
_space_group_IT_number 19
loop_
_space_group_symop_operation_xyz
'x,y,z'
'-x+1/2,-y,z+1/2'
'x+1/2,-y+1/2,-z'
'-x,y+1/2,-z+1/2'
loop_
_atom_site_label
_atom_site_type_symbol
_atom_site_fract_x
_atom_site_fract_y
_atom_site_fract_z
Li1 Li 0.1518 0.1328 0.1159
Ni1 Ni 0.1306 0.8545 0.3433
P1 P 0.0303 0.3199 0.8179
P2 P 0.1839 0.4795 0.3100
P3 P 0.2033 0.8102 0.9414
O1 O 0.0409 0.7732 0.8469
O2 O 0.0889 0.6161 0.3674
O3 O 0.1036 0.8723 0.5795
O4 O 0.1162 0.3843 0.1792
O5 O 0.1341 0.1903 0.8785
O6 O 0.1402 0.4644 0.7635
O7 O 0.1591 0.8633 0.0998
O8 O 0.1882 0.0898 0.3448
O9 O 0.2234 0.3640 0.4527
```

Peak list (10 most intense, 15 to 90 degrees two-theta, low angle first)
2θ 20.46, I = 19.9, (0 0 2); 2θ 23.05, I = 100.0, (1 0 2); 2θ 23.30, I = 75.8, (1 2 0); 2θ 23.54, I = 24.3, (2 1 0); 2θ 25.31, I = 19.1, (1 1 2); 2θ 25.48, I = 18.9, (1 2 1); 2θ 25.72, I = 34.9, (2 1 1); 2θ 32.66, I = 34.4, (0 1 3); 2θ 33.12, I = 43.8, (1 3 0); 2θ 33.56, I = 36.8, (3 0 1)